Entry 1:
# Sm12Er2In
Computed powder diffraction line list, λ = 1.5418 Å (Cu Kα). Input: a structure optimized by DFT (PBE).

Atomic structure:
Lattice parameters (Å, degrees): 7.229 11.442 24.365 90.00 90.00 90.00
Space group Cmme (No. 67)
One atom of each set of equivalent atoms:
1 Sm 0.000 0.001 0.072 x8
2 Sm 0.000 0.025 0.561 x8
3 Sm 0.231 0.250 0.411 x8
4 Sm 0.249 0.250 0.878 x8
5 Sm 0.250 0.000 0.195 x8
6 Sm 0.250 0.000 0.323 x8
7 Er 0.000 0.250 0.261 x4
8 Er 0.000 0.250 0.735 x4
9 In 0.000 0.250 0.000 x4

Main lines, sorted by position (10 to 80 degrees two-theta):
2θ/deg, I/Imax, (hkl)
28.72, 34, 2 0 4
30.05, 34, 0 2 7
30.15, 100, 2 2 2
31.27, 96, 0 4 0
32.79, 54, 2 2 4
33.33, 82, 0 2 8
36.81, 48, 2 2 6
50.50, 22, 4 0 0
60.61, 24, 4 4 0
61.86, 28, 4 2 8

=====

Entry 2:
# Na2NdAlF8
Computed powder diffraction line list, λ = 1.5418 Å (Cu Kα). Input: a structure optimized by DFT (PBE).

Atomic structure:
Lattice parameters (Å, degrees): 4.805 6.778 5.246 90.00 90.47 90.00
Space group P2/m (No. 10)
One atom of each set of equivalent atoms:
1 Na 0.000 0.224 0.000 x2
2 Nd 0.500 0.500 0.500 x1
3 Al 0.500 0.000 0.500 x1
4 F 0.145 0.500 0.223 x2
5 F 0.225 0.000 0.268 x2
6 F 0.333 0.206 0.684 x4

Main lines, sorted by position (10 to 80 degrees two-theta):
2θ/deg, I/Imax, (hkl)
13.06, 49, 0 1 0
16.90, 98, 0 0 1
18.47, 58, 1 0 0
21.42, 49, 0 1 1
25.03, 100, 1 0 -1
25.24, 87, 1 0 1
31.43, 64, 0 2 1
36.62, 67, 1 2 -1
47.65, 57, 1 2 -2
47.85, 52, 1 2 2

=====

Entry 3:
# PrCd3Hg4
Computed powder diffraction line list, λ = 1.5418 Å (Cu Kα). Input: a structure optimized by DFT (PBE).

Atomic structure:
Lattice parameters (Å, degrees): 9.836 8.117 4.917 90.00 90.00 90.00
Space group Pmma (No. 51)
One atom of each set of equivalent atoms:
1 Pr 0.000 0.000 0.000 x2
2 Cd 0.000 0.500 0.000 x2
3 Cd 0.250 0.000 0.499 x2
4 Cd 0.250 0.500 0.498 x2
5 Hg 0.000 0.262 0.500 x4
6 Hg 0.250 0.263 0.998 x4

Main lines, sorted by position (10 to 80 degrees two-theta):
2θ/deg, I/Imax, (hkl)
25.62, 6, 2 0 1
33.95, 100, 2 2 1
36.55, 42, 4 0 0
44.65, 11, 0 4 0
52.65, 15, 4 0 2
59.02, 19, 4 4 0
64.13, 32, 6 2 1
71.45, 11, 4 4 2
75.39, 9, 2 6 1
77.67, 5, 8 0 0